(1)
Structure and calculated powder XRD pattern of Sm5Tm2Mg (a structure optimized by DFT (PBE); copper Kα).
Lines closer than 0.1° are merged.

Principal peaks in the range 10 to 80 degrees two-theta, low angle first:
- 2θ = 27.78°, intensity 67
- 2θ = 29.70°, intensity 76
- 2θ = 31.02°, intensity 57
- 2θ = 31.80°, intensity 96
- 2θ = 34.54°, intensity 100
- 2θ = 49.65°, intensity 29
- 2θ = 57.70°, intensity 28
- 2θ = 60.16°, intensity 29

Structure:
```
Sm5Tm2Mg
1.0
2.598 -5.659 0.000
2.598 5.659 0.000
0.000 0.000 17.524
Sm Tm Mg
10 4 2
Cartesian
2.598 5.288 13.143
2.598 3.991 9.421
2.598 3.991 16.864
2.598 0.576 10.389
2.598 0.576 15.897
2.598 -0.576 1.627
2.598 -0.576 7.135
2.598 -3.991 0.659
2.598 -3.991 8.102
2.598 -5.288 4.381
2.598 2.783 2.675
2.598 2.783 6.087
2.598 -2.783 11.437
2.598 -2.783 14.849
2.598 2.044 13.143
2.598 -2.044 4.381
```

=====

(2)
Structure and calculated powder XRD pattern of ErPaGa2 (a structure optimized by DFT (PBE); copper Kα).
Lines closer than 0.1° are merged.

Principal peaks in the range 10 to 80 degrees two-theta, low angle first:
- 2θ = 21.65°, intensity 3
- 2θ = 25.05°, intensity 25
- 2θ = 35.72°, intensity 100
- 2θ = 44.13°, intensity 8
- 2θ = 51.41°, intensity 18
- 2θ = 58.02°, intensity 11
- 2θ = 64.18°, intensity 37
- 2θ = 75.67°, intensity 11

Structure:
```
ErPaGa2
1.0
0.000 3.555 3.555
3.555 0.000 3.555
3.555 3.555 0.000
Er Pa Ga
1 1 2
Cartesian
0.000 0.000 0.000
3.555 3.555 3.555
1.777 1.777 1.777
5.332 5.332 5.332
```